Starting from a crystal structure in the Materials Project, relaxed with GGA-PBE, the X-ray diffraction stick pattern of NaErTl2 was simulated for Cu Kα X-rays.
Neutral-atom scattering factors, no anomalous dispersion.

Peak list (10 most intense, 10° ≤ 2θ ≤ 90°, by angle)
Position (°2θ)	I_rel
20.37	13
23.56	15
33.57	100
39.58	7
41.42	5
48.20	18
54.33	7
60.02	38
70.55	12
80.43	17

Atomic structure:
Lattice parameters (Å, degrees): 5.340 5.340 5.340 60.00 60.00 60.00
Positions (direct):
Na (0.000, 0.000, 0.000)
Er (0.500, 0.500, 0.500)
Tl (0.250, 0.250, 0.250)
Tl (0.750, 0.750, 0.750)